Record 1
For KFeBiWO6, a GGA+U-relaxed structure gives the theoretical powder diffraction line list in this record (Cu Ka).

Main lines, most intense first (15° ≤ 2θ ≤ 90°):
2θ (°)	I_rel	(hkl)
31.6	100	2 2 0
19.2	45	1 1 1
56.3	40	4 2 2
45.3	30	4 0 0
37.3	27	3 1 1
66.0	18	4 4 0
75.0	17	6 2 0
49.6	12	3 3 1
60.0	10	5 1 1
69.5	10	5 3 1
83.7	6	4 4 4
86.9	6	5 5 1

Atomic structure:
```
data_KFeBiWO6
_chemical_formula_sum 'K4 Fe4 Bi4 W4 O24'
_space_group_name_H-M_alt 'F -4 3 m'
_space_group_IT_number 216
_space_group_name_Hall 'F -4 2 3'
_cell_length_a 8.006
_cell_length_b 8.006
_cell_length_c 8.006
_cell_angle_alpha 90.00
_cell_angle_beta 90.00
_cell_angle_gamma 90.00
loop_
_atom_site_label
_atom_site_type_symbol
_atom_site_fract_x
_atom_site_fract_y
_atom_site_fract_z
K1 K 0.000 0.000 0.000
Fe1 Fe 0.250 0.250 0.750
Bi1 Bi 0.000 0.000 0.500
W1 W 0.250 0.250 0.250
O1 O 0.005 0.250 0.250
```



Record 2
For LaFe5Bi4O15, a GGA+U-relaxed structure gives the theoretical powder diffraction line list in this record (Cu Ka).

Main lines, most intense first (15° ≤ 2θ ≤ 90°):
2θ (°)	I_rel	(hkl)
28.6	100	1 1 6
31.8	77	1 0 -7
31.6	77	1 -1 0
32.0	75	2 1 -1
32.3	72	1 2 -1
20.1	70	0 1 3
34.7	59	0 1 -7
22.2	56	1 0 3
40.9	50	0 2 6
39.1	45	0 0 10
24.6	44	1 1 -4
45.2	37	2 0 6

Atomic structure:
```
data_LaFe5Bi4O15
_chemical_formula_sum 'La2 Fe10 Bi8 O30'
_space_group_name_H-M_alt 'P 1'
_space_group_IT_number 1
_cell_length_a 5.634
_cell_length_b 5.705
_cell_length_c 23.257
_cell_angle_alpha 83.40
_cell_angle_beta 89.95
_cell_angle_gamma 60.43
loop_
_space_group_symop_operation_xyz
'x,y,z'
loop_
_atom_site_label
_atom_site_type_symbol
_atom_site_fract_x
_atom_site_fract_y
_atom_site_fract_z
La1 La 0.000 0.000 0.000
La2 La 0.399 0.401 0.199
Fe1 Fe 0.035 0.077 0.147
Fe2 Fe 0.133 0.181 0.446
Fe3 Fe 0.232 0.282 0.746
Fe4 Fe 0.326 0.394 0.046
Fe5 Fe 0.433 0.477 0.346
Fe6 Fe 0.533 0.581 0.646
Fe7 Fe 0.634 0.681 0.947
Fe8 Fe 0.727 0.795 0.247
Fe9 Fe 0.832 0.881 0.546
Fe10 Fe 0.932 0.981 0.846
Bi1 Bi 0.125 0.059 0.302
Bi2 Bi 0.222 0.156 0.602
Bi3 Bi 0.318 0.261 0.902
Bi4 Bi 0.523 0.457 0.502
Bi5 Bi 0.623 0.556 0.802
Bi6 Bi 0.719 0.663 0.103
Bi7 Bi 0.822 0.757 0.401
Bi8 Bi 0.923 0.857 0.702
O1 O 0.017 0.531 0.979
O2 O 0.030 0.704 0.309
O3 O 0.073 0.211 0.810
O4 O 0.091 0.759 0.092
O5 O 0.117 0.247 0.080
O6 O 0.136 0.669 0.789
O7 O 0.215 0.752 0.580
O8 O 0.222 0.914 0.910
O9 O 0.274 0.411 0.410
O10 O 0.284 0.970 0.690
O11 O 0.313 0.451 0.680
O12 O 0.335 0.869 0.390
O13 O 0.418 0.932 0.180
O14 O 0.425 0.111 0.510
O15 O 0.487 0.164 0.291
O16 O 0.490 0.592 0.009
O17 O 0.512 0.648 0.279
O18 O 0.535 0.068 0.989
O19 O 0.615 0.152 0.780
O20 O 0.628 0.306 0.109
O21 O 0.674 0.810 0.610
O22 O 0.687 0.366 0.890
O23 O 0.718 0.851 0.881
O24 O 0.735 0.270 0.590
O25 O 0.816 0.352 0.380
O26 O 0.824 0.511 0.710
O27 O 0.884 0.570 0.489
O28 O 0.891 0.992 0.210
O29 O 0.913 0.051 0.480
O30 O 0.934 0.468 0.190
```



Record 3
For LaFe5Bi4O15, a GGA+U-relaxed structure gives the theoretical powder diffraction line list in this record (Cu Ka).

Main lines, most intense first (15° ≤ 2θ ≤ 90°):
2θ (°)	I_rel	(hkl)
32.1	100	1 2 -3
32.0	99	1 0 3
22.5	69	0 1 -3
57.1	57	3 1 -4
45.9	49	2 2 0
39.5	30	2 0 -4
51.6	26	1 0 -7
51.8	17	-3 3 2
67.0	15	-4 2 2
76.1	12	1 4 -9
56.9	11	1 3 4
76.2	11	4 1 -1

Atomic structure:
```
data_LaFe5Bi4O15
_chemical_formula_sum 'La2 Fe10 Bi8 O30'
_space_group_name_H-M_alt 'P 1'
_space_group_IT_number 1
_cell_length_a 5.583
_cell_length_b 9.676
_cell_length_c 12.528
_cell_angle_alpha 97.25
_cell_angle_beta 102.87
_cell_angle_gamma 106.75
loop_
_space_group_symop_operation_xyz
'x,y,z'
loop_
_atom_site_label
_atom_site_type_symbol
_atom_site_fract_x
_atom_site_fract_y
_atom_site_fract_z
La1 La 0.000 0.000 0.000
La2 La 0.204 0.799 0.607
Fe1 Fe 0.044 0.440 0.641
Fe2 Fe 0.141 0.340 0.942
Fe3 Fe 0.244 0.240 0.240
Fe4 Fe 0.346 0.145 0.548
Fe5 Fe 0.443 0.040 0.842
Fe6 Fe 0.544 0.942 0.145
Fe7 Fe 0.641 0.842 0.444
Fe8 Fe 0.744 0.739 0.741
Fe9 Fe 0.844 0.641 0.047
Fe10 Fe 0.941 0.536 0.339
Bi1 Bi 0.116 0.921 0.318
Bi2 Bi 0.312 0.712 0.917
Bi3 Bi 0.421 0.614 0.222
Bi4 Bi 0.519 0.514 0.520
Bi5 Bi 0.622 0.420 0.821
Bi6 Bi 0.723 0.312 0.118
Bi7 Bi 0.817 0.221 0.418
Bi8 Bi 0.926 0.122 0.721
O1 O 0.015 0.508 0.963
O2 O 0.023 0.354 0.293
O3 O 0.107 0.279 0.083
O4 O 0.116 0.854 0.801
O5 O 0.152 0.374 0.782
O6 O 0.162 0.808 0.063
O7 O 0.208 0.314 0.565
O8 O 0.224 0.156 0.893
O9 O 0.315 0.076 0.686
O10 O 0.317 0.647 0.396
O11 O 0.352 0.171 0.384
O12 O 0.367 0.609 0.663
O13 O 0.416 0.111 0.165
O14 O 0.417 0.949 0.494
O15 O 0.500 0.865 0.284
O16 O 0.518 0.449 0.989
O17 O 0.546 0.972 0.984
O18 O 0.571 0.412 0.268
O19 O 0.628 0.752 0.092
O20 O 0.632 0.910 0.773
O21 O 0.709 0.675 0.882
O22 O 0.728 0.260 0.593
O23 O 0.746 0.772 0.586
O24 O 0.772 0.212 0.867
O25 O 0.821 0.708 0.368
O26 O 0.838 0.559 0.692
O27 O 0.914 0.477 0.485
O28 O 0.921 0.054 0.196
O29 O 0.951 0.568 0.186
O30 O 0.962 0.010 0.464
```



Record 4
For LaFe4Bi3O12, a GGA+U-relaxed structure gives the theoretical powder diffraction line list in this record (Cu Ka).

Main lines, most intense first (15° ≤ 2θ ≤ 90°):
2θ (°)	I_rel	(hkl)
31.9	100	1 2 -1
32.0	99	1 2 1
22.5	59	0 2 0
32.3	48	2 0 0
31.5	44	0 0 2
22.3	28	1 0 -1
45.8	27	0 4 0
39.7	27	2 2 0
76.0	26	1 6 -1
39.0	23	0 2 2
57.2	22	2 4 0
57.3	22	3 2 -1

Atomic structure:
```
data_LaFe4Bi3O12
_chemical_formula_sum 'La1 Fe4 Bi3 O12'
_space_group_name_H-M_alt 'P 1 m 1'
_space_group_IT_number 6
_cell_length_a 5.535
_cell_length_b 7.921
_cell_length_c 5.688
_cell_angle_alpha 90.00
_cell_angle_beta 90.48
_cell_angle_gamma 90.00
loop_
_space_group_symop_operation_xyz
'x,y,z'
'x,-y,z'
loop_
_atom_site_label
_atom_site_type_symbol
_atom_site_fract_x
_atom_site_fract_y
_atom_site_fract_z
La1 La 0.000 0.000 0.000
Fe1 Fe 0.008 0.252 0.540
Fe2 Fe 0.513 0.251 0.043
Bi1 Bi 0.023 0.500 0.086
Bi2 Bi 0.501 0.500 0.586
Bi3 Bi 0.522 0.000 0.497
O1 O 0.109 0.000 0.567
O2 O 0.207 0.298 0.842
O3 O 0.309 0.300 0.338
O4 O 0.426 0.000 0.064
O5 O 0.609 0.500 0.009
O6 O 0.712 0.198 0.745
O7 O 0.808 0.204 0.248
O8 O 0.910 0.500 0.516
```



Record 5
For LaFe5Bi4O15, a GGA+U-relaxed structure gives the theoretical powder diffraction line list in this record (Cu Ka).

Main lines, most intense first (15° ≤ 2θ ≤ 90°):
2θ (°)	I_rel	(hkl)
31.4	100	0 1 -6
31.8	99	2 1 0
22.2	72	1 0 3
45.2	48	2 0 6
56.3	42	1 0 13
39.1	29	0 0 10
50.7	25	1 -1 9
51.2	17	2 1 10
55.6	17	1 3 -5
56.6	16	3 2 7
66.3	15	4 2 0
75.2	11	4 1 6

Atomic structure:
```
data_LaFe5Bi4O15
_chemical_formula_sum 'La2 Fe10 Bi8 O30'
_space_group_name_H-M_alt 'P 1'
_space_group_IT_number 1
_cell_length_a 5.634
_cell_length_b 5.705
_cell_length_c 23.257
_cell_angle_alpha 83.40
_cell_angle_beta 89.95
_cell_angle_gamma 60.43
loop_
_space_group_symop_operation_xyz
'x,y,z'
loop_
_atom_site_label
_atom_site_type_symbol
_atom_site_fract_x
_atom_site_fract_y
_atom_site_fract_z
La1 La 0.000 0.000 0.000
La2 La 0.399 0.202 0.199
Fe1 Fe 0.035 0.930 0.147
Fe2 Fe 0.133 0.735 0.446
Fe3 Fe 0.232 0.535 0.746
Fe4 Fe 0.326 0.348 0.046
Fe5 Fe 0.433 0.131 0.346
Fe6 Fe 0.533 0.935 0.646
Fe7 Fe 0.634 0.734 0.947
Fe8 Fe 0.727 0.548 0.247
Fe9 Fe 0.832 0.335 0.546
Fe10 Fe 0.932 0.135 0.846
Bi1 Bi 0.125 0.756 0.302
Bi2 Bi 0.222 0.555 0.602
Bi3 Bi 0.318 0.359 0.902
Bi4 Bi 0.523 0.955 0.502
Bi5 Bi 0.623 0.754 0.802
Bi6 Bi 0.719 0.560 0.103
Bi7 Bi 0.822 0.355 0.401
Bi8 Bi 0.923 0.155 0.702
O1 O 0.017 0.552 0.979
O2 O 0.030 0.395 0.309
O3 O 0.073 0.401 0.810
O4 O 0.091 0.666 0.092
O5 O 0.117 0.167 0.080
O6 O 0.136 0.880 0.789
O7 O 0.215 0.172 0.580
O8 O 0.222 0.003 0.910
O9 O 0.274 0.001 0.410
O10 O 0.284 0.280 0.690
O11 O 0.313 0.772 0.680
O12 O 0.335 0.480 0.390
O13 O 0.418 0.752 0.180
O14 O 0.425 0.601 0.510
O15 O 0.487 0.873 0.291
O16 O 0.490 0.583 0.009
O17 O 0.512 0.369 0.279
O18 O 0.535 0.078 0.989
O19 O 0.615 0.372 0.780
O20 O 0.628 0.197 0.109
O21 O 0.674 0.200 0.610
O22 O 0.687 0.476 0.890
O23 O 0.718 0.970 0.881
O24 O 0.735 0.680 0.590
O25 O 0.816 0.972 0.380
O26 O 0.824 0.801 0.710
O27 O 0.884 0.081 0.489
O28 O 0.891 0.783 0.210
O29 O 0.913 0.572 0.480
O30 O 0.934 0.278 0.190
```



Record 6
For MgFeBiO3, a GGA+U-relaxed structure gives the theoretical powder diffraction line list in this record (Cu Ka).

Main lines, most intense first (15° ≤ 2θ ≤ 90°):
2θ (°)	I_rel	(hkl)
27.1	100	1 0 1
35.4	69	1 0 2
33.9	50	1 1 0
36.4	43	1 1 1
25.9	42	0 0 2
23.8	37	1 0 0
61.6	29	2 1 2
56.6	28	2 1 1
52.8	27	1 1 3
48.6	27	2 0 0
43.1	26	1 1 2
55.9	19	2 0 2

Atomic structure:
```
data_MgFeBiO3
_chemical_formula_sum 'Mg1 Fe1 Bi1 O3'
_space_group_name_H-M_alt 'P 4 m m'
_space_group_IT_number 99
_cell_length_a 3.745
_cell_length_b 3.745
_cell_length_c 6.879
_cell_angle_alpha 90.00
_cell_angle_beta 90.00
_cell_angle_gamma 90.00
loop_
_space_group_symop_operation_xyz
'x,y,z'
'-y,x,z'
'-x,-y,z'
'y,-x,z'
'-x,y,z'
'y,x,z'
'x,-y,z'
'-y,-x,z'
loop_
_atom_site_label
_atom_site_type_symbol
_atom_site_fract_x
_atom_site_fract_y
_atom_site_fract_z
Mg1 Mg 0.000 0.000 0.000
Fe1 Fe 0.500 0.500 0.201
Bi1 Bi 0.000 0.000 0.546
O1 O 0.000 0.500 0.099
O2 O 0.500 0.500 0.491
```



Record 7
For MgFeBiO3, a GGA+U-relaxed structure gives the theoretical powder diffraction line list in this record (Cu Ka).

Main lines, most intense first (15° ≤ 2θ ≤ 90°):
2θ (°)	I_rel	(hkl)
28.2	100	1 0 1
25.8	71	0 1 1
36.1	50	1 1 1
34.8	47	0 1 2
33.4	42	1 1 0
36.7	41	1 0 2
53.9	32	1 2 1
53.4	31	1 1 3
22.0	27	0 1 0
43.2	27	1 1 2
44.9	21	0 2 0
59.4	20	1 2 2

Atomic structure:
```
data_MgFeBiO3
_chemical_formula_sum 'Mg1 Fe1 Bi1 O3'
_space_group_name_H-M_alt 'P m m 2'
_space_group_IT_number 25
_cell_length_a 3.589
_cell_length_b 4.035
_cell_length_c 6.694
_cell_angle_alpha 90.00
_cell_angle_beta 90.00
_cell_angle_gamma 90.00
loop_
_space_group_symop_operation_xyz
'x,y,z'
'-x,-y,z'
'-x,y,z'
'x,-y,z'
loop_
_atom_site_label
_atom_site_type_symbol
_atom_site_fract_x
_atom_site_fract_y
_atom_site_fract_z
Mg1 Mg 0.000 0.000 0.000
Fe1 Fe 0.000 0.500 0.287
Bi1 Bi 0.500 0.000 0.591
O1 O 0.000 0.000 0.302
O2 O 0.000 0.500 0.979
O3 O 0.500 0.500 0.446
```



Record 8
For Mg3Fe4Bi6O24, a GGA+U-relaxed structure gives the theoretical powder diffraction line list in this record (Cu Ka).

Main lines, most intense first (15° ≤ 2θ ≤ 90°):
2θ (°)	I_rel	(hkl)
29.5	100	0 2 -3
26.4	89	-1 2 1
28.7	82	2 0 -1
19.4	74	1 0 -2
32.2	71	1 0 3
23.5	64	1 -2 1
18.6	52	1 0 1
33.6	48	1 2 0
23.7	41	0 1 2
34.7	37	2 -2 2
16.7	33	0 0 2
48.1	32	-1 3 3

Atomic structure:
```
data_Mg3Fe4Bi6O24
_chemical_formula_sum 'Mg3 Fe4 Bi6 O24'
_space_group_name_H-M_alt 'P -1'
_space_group_IT_number 2
_cell_length_a 6.602
_cell_length_b 7.999
_cell_length_c 11.277
_cell_angle_alpha 103.99
_cell_angle_beta 97.90
_cell_angle_gamma 109.57
loop_
_space_group_symop_operation_xyz
'x,y,z'
'-x,-y,-z'
loop_
_atom_site_label
_atom_site_type_symbol
_atom_site_fract_x
_atom_site_fract_y
_atom_site_fract_z
Mg1 Mg 0.000 0.000 0.000
Mg2 Mg 0.017 0.478 0.701
Fe1 Fe 0.270 0.370 0.911
Fe2 Fe 0.471 0.782 0.483
Bi1 Bi 0.105 0.911 0.609
Bi2 Bi 0.363 0.336 0.232
Bi3 Bi 0.363 0.812 0.187
O1 O 0.027 0.673 0.173
O2 O 0.036 0.279 0.291
O3 O 0.140 0.713 0.466
O4 O 0.161 0.273 0.050
O5 O 0.200 0.117 0.502
O6 O 0.263 0.109 0.794
O7 O 0.286 0.029 0.131
O8 O 0.322 0.515 0.789
O9 O 0.349 0.611 0.303
O10 O 0.420 0.628 0.039
O11 O 0.464 0.646 0.597
O12 O 0.486 0.016 0.619
```



Record 9
For MgFeBiO3, a GGA+U-relaxed structure gives the theoretical powder diffraction line list in this record (Cu Ka).

Main lines, most intense first (15° ≤ 2θ ≤ 90°):
2θ (°)	I_rel	(hkl)
25.6	100	1 0 1
33.7	50	1 0 2
31.8	43	1 1 0
34.2	31	1 1 1
53.0	29	2 1 1
40.8	27	1 1 2
45.6	24	2 0 0
57.9	22	2 1 2
24.9	21	0 0 2
44.3	21	1 0 3
50.2	19	1 1 3
56.5	19	1 0 4

Atomic structure:
```
data_MgFeBiO3
_chemical_formula_sum 'Mg1 Fe1 Bi1 O3'
_space_group_name_H-M_alt 'P 4 m m'
_space_group_IT_number 99
_cell_length_a 3.982
_cell_length_b 3.982
_cell_length_c 7.145
_cell_angle_alpha 90.00
_cell_angle_beta 90.00
_cell_angle_gamma 90.00
loop_
_space_group_symop_operation_xyz
'x,y,z'
'-y,x,z'
'-x,-y,z'
'y,-x,z'
'-x,y,z'
'y,x,z'
'x,-y,z'
'-y,-x,z'
loop_
_atom_site_label
_atom_site_type_symbol
_atom_site_fract_x
_atom_site_fract_y
_atom_site_fract_z
Mg1 Mg 0.000 0.000 0.000
Fe1 Fe 0.000 0.000 0.454
Bi1 Bi 0.500 0.500 0.833
O1 O 0.000 0.000 0.707
O2 O 0.000 0.500 0.001
```